For BaPrMgCo2O6, a PBE+U-relaxed structure gives the computed powder X-ray diffraction pattern in this record (Cu Kα).

Top 12 peaks for 10° ≤ 2θ ≤ 80°, by intensity:
- 2θ 34.5, intensity 100, (1 0 3)
- 2θ 32.4, intensity 99, (1 1 0)
- 2θ 27.4, intensity 95, (0 1 2)
- 2θ 33.2, intensity 87, (0 1 3)
- 2θ 53.9, intensity 68, (1 1 5)
- 2θ 16.4, intensity 67, (0 0 2)
- 2θ 29.0, intensity 63, (1 0 2)
- 2θ 36.5, intensity 56, (1 1 2)
- 2θ 44.5, intensity 47, (0 2 0)
- 2θ 57.5, intensity 44, (1 2 3)
- 2θ 48.4, intensity 36, (2 0 0)
- 2θ 60.0, intensity 35, (2 1 3)

Structural model:
Cell lengths 3.7585, 4.0748, 10.7868 Å; angles 90.00, 90.00, 90.00 degrees
Space group Pmm2 (No. 25)
Asymmetric unit:
Ba1 0.0000 0.0000 0.0000 [1 per cell]
Pr1 0.0000 0.0000 0.6083 [1 per cell]
Mg1 0.0000 0.5000 0.3566 [1 per cell]
Co1 0.5000 0.5000 0.1573 [1 per cell]
Co2 0.5000 0.5000 0.7858 [1 per cell]
O1 0.0000 0.5000 0.1798 [1 per cell]
O2 0.0000 0.5000 0.7105 [1 per cell]
O3 0.5000 0.0000 0.1722 [1 per cell]
O4 0.5000 0.0000 0.7277 [1 per cell]
O5 0.5000 0.5000 0.4455 [1 per cell]
O6 0.5000 0.5000 0.9555 [1 per cell]

For Eu2CoO4, a PBE+U-relaxed structure gives the computed powder X-ray diffraction pattern in this record (Cu Kα).

Top 12 peaks for 10° ≤ 2θ ≤ 80°, by intensity:
- 2θ 30.5, intensity 100, (2 0 -2)
- 2θ 31.4, intensity 42, (1 2 -2)
- 2θ 30.2, intensity 40, (1 2 0)
- 2θ 29.3, intensity 31, (1 2 -1)
- 2θ 33.9, intensity 31, (1 0 -4)
- 2θ 28.6, intensity 30, (1 1 -3)
- 2θ 51.9, intensity 20, (3 0 0)
- 2θ 31.0, intensity 19, (0 1 3)
- 2θ 38.0, intensity 18, (0 2 3)
- 2θ 54.9, intensity 17, (0 4 2)
- 2θ 39.0, intensity 16, (0 3 1)
- 2θ 42.6, intensity 16, (2 2 0)

Structural model:
Cell lengths 5.8988, 7.1501, 10.5786 Å; angles 90.00, 116.48, 90.00 degrees
Space group P2_1/c (No. 14)
Asymmetric unit:
Eu1 0.0111 0.0069 0.3023 [4 per cell]
Eu2 0.2980 0.6451 0.5686 [4 per cell]
Co1 0.3534 0.2148 0.5844 [4 per cell]
O1 0.1230 0.1549 0.1287 [4 per cell]
O2 0.2606 0.5301 0.0644 [4 per cell]
O3 0.2830 0.1535 0.9155 [4 per cell]
O4 0.2994 0.7341 0.8017 [4 per cell]

For Li3CoOF3, a PBE+U-relaxed structure gives the computed powder X-ray diffraction pattern in this record (Cu Kα).

Top 12 peaks for 10° ≤ 2θ ≤ 80°, by intensity:
- 2θ 42.9, intensity 100, (3 1 -2)
- 2θ 18.4, intensity 61, (2 0 0)
- 2θ 43.8, intensity 40, (2 0 4)
- 2θ 18.8, intensity 35, (2 0 -1)
- 2θ 63.1, intensity 24, (5 1 2)
- 2θ 35.3, intensity 22, (1 1 -2)
- 2θ 62.9, intensity 22, (1 1 -6)
- 2θ 21.9, intensity 21, (2 0 1)
- 2θ 40.4, intensity 13, (1 1 -3)
- 2θ 62.2, intensity 12, (0 2 0)
- 2θ 33.1, intensity 12, (1 1 1)
- 2θ 32.1, intensity 11, (1 1 -1)

Structural model:
Cell lengths 9.8367, 2.9861, 10.2047 Å; angles 90.00, 101.12, 90.00 degrees
Space group C2 (No. 5)
Asymmetric unit:
Li1 0.0000 0.0000 0.0000 [2 per cell]
Li2 0.0000 0.0075 0.5000 [2 per cell]
Li3 0.9995 0.5071 0.2463 [4 per cell]
Li4 0.2489 0.5072 0.6191 [4 per cell]
Co1 0.2446 0.0123 0.8871 [4 per cell]
O1 0.1230 0.4919 0.9347 [4 per cell]
F1 0.1243 0.5070 0.4379 [4 per cell]
F2 0.1253 0.0027 0.6816 [4 per cell]
F3 0.1305 0.0160 0.2004 [4 per cell]